Simulated powder diffractogram of Na4V2O5 for Cu Ka, from a GGA+U-relaxed structure.
Intensities are scaled so that the largest is 100.

Structural model:
Lattice parameters (Å, degrees): 6.0225 9.4386 20.2862 90.00 90.00 90.00
Space group Fddd (No. 70, origin choice 2)
Inequivalent atoms, fractional coordinates:
Na  0.1221  0.3706  0.4701 [32 per cell]
V  0.1250  0.3300  0.1250 [16 per cell]
O  0.1250  0.1250  0.1250 [8 per cell]
O  0.1250  0.1250  0.3123 [16 per cell]
O  0.1250  0.1250  0.4442 [16 per cell]

Most intense lines, 2θ = 10–90°, in order of rising 2θ:
hkl 1 1 1, d = 4.925 Å, I 26; hkl 0 2 2, d = 4.279 Å, I 59; hkl 1 1 3, d = 4.060 Å, I 20; hkl 0 2 6, d = 2.748 Å, I 30; hkl 2 2 0, d = 2.538 Å, I 26; hkl 0 4 0, d = 2.360 Å, I 44; hkl 2 0 6, d = 2.249 Å, I 100; hkl 2 2 8, d = 1.794 Å, I 34; hkl 2 4 6, d = 1.628 Å, I 38; hkl 4 0 0, d = 1.506 Å, I 14